# 1
This entry pairs a crystal structure of NaTbH2S2O9 with its calculated powder diffraction line list. Radiation: Cu Kα (weighted mean of Kα1 and Kα2). Structure: a DFT-relaxed cell (PBE, the Materials Project).
Intensities are scaled so that the largest is 100.

Cell and atoms:
```
NaTbH2S2O9
1.0
6.9805 0.0000 0.0000
-3.4903 6.0453 0.0000
0.0000 0.0000 12.7977
Na Tb H S O
3 3 6 6 27
direct
0.0000 0.4723 0.1667 Na
0.4723 0.0000 0.8333 Na
0.5277 0.5277 0.5000 Na
0.0000 0.4413 0.6667 Tb
0.4413 0.0000 0.3333 Tb
0.5587 0.5587 0.0000 Tb
0.0361 0.9304 0.0361 H
0.0696 0.1056 0.3694 H
0.1056 0.0696 0.6306 H
0.8944 0.9639 0.7028 H
0.9304 0.0361 0.9639 H
0.9639 0.8944 0.2972 H
0.0139 0.4578 0.9070 S
0.4440 0.9861 0.5737 S
0.4578 0.0139 0.0930 S
0.5422 0.5560 0.2403 S
0.5560 0.5422 0.7597 S
0.9861 0.4440 0.4263 S
0.0000 0.0988 0.6667 O
0.0988 0.0000 0.3333 O
0.1246 0.3860 0.4946 O
0.1252 0.6210 0.3514 O
0.1323 0.6460 0.8324 O
0.1709 0.4176 0.9685 O
0.2467 0.8291 0.6352 O
0.2614 0.8754 0.1613 O
0.3540 0.4863 0.1657 O
0.3790 0.5042 0.6848 O
0.3860 0.1246 0.5054 O
0.4176 0.1709 0.0315 O
0.4863 0.3540 0.8343 O
0.4958 0.8748 0.0181 O
0.5042 0.3790 0.3152 O
0.5137 0.8677 0.4990 O
0.5824 0.7533 0.3018 O
0.6140 0.7386 0.8279 O
0.6210 0.1252 0.6486 O
0.6460 0.1323 0.1676 O
0.7386 0.6140 0.1721 O
0.7533 0.5824 0.6982 O
0.8291 0.2467 0.3648 O
0.8677 0.5137 0.5010 O
0.8754 0.2614 0.8387 O
0.8748 0.4958 0.9819 O
0.9012 0.9012 0.0000 O
```

Main lines, in order of falling intensity (2θ from 10° to 90°):
Position (°2θ)	I/Imax
16.2	100
31.6	60
29.6	56
14.7	45
49.0	38
25.5	36



# 2
This entry pairs a crystal structure of Na2TeH5SO10 with its calculated powder diffraction line list. Radiation: Cu Kα (weighted mean of Kα1 and Kα2). Structure: a DFT-relaxed cell (PBE, the Materials Project).
Intensities are scaled so that the largest is 100.

Cell and atoms:
```
Na2TeH5SO10
1.0
2.7397 -5.1990 0.0000
2.7397 5.1990 0.0000
-1.0840 0.0000 15.3241
Na Te H S O
4 2 10 2 20
direct
0.0741 0.9259 0.5000 Na
0.1213 0.6353 0.3086 Na
0.6353 0.1213 0.8086 Na
0.9259 0.0741 0.0000 Na
0.5236 0.5454 0.6915 Te
0.5454 0.5236 0.1915 Te
0.0820 0.0985 0.6754 H
0.0985 0.0820 0.1754 H
0.1310 0.6008 0.6977 H
0.2821 0.6948 0.1213 H
0.6008 0.1310 0.1977 H
0.6048 0.8381 0.5657 H
0.6948 0.2821 0.6213 H
0.8381 0.6048 0.0657 H
0.8459 0.9168 0.3035 H
0.9168 0.8459 0.8035 H
0.1728 0.6800 0.9377 S
0.6800 0.1728 0.4377 S
0.0316 0.8102 0.9074 O
0.0726 0.4213 0.8827 O
0.0928 0.5896 0.0292 O
0.1988 0.2228 0.6289 O
0.2228 0.1988 0.1289 O
0.3349 0.7309 0.7091 O
0.3677 0.4326 0.2991 O
0.3973 0.7545 0.1784 O
0.4213 0.0726 0.3827 O
0.4326 0.3677 0.7991 O
0.4745 0.8764 0.9356 O
0.5896 0.0928 0.5292 O
0.6533 0.7044 0.5803 O
0.7044 0.6533 0.0803 O
0.7309 0.3349 0.2091 O
0.7545 0.3973 0.6784 O
0.8102 0.0316 0.4074 O
0.8491 0.8883 0.7499 O
0.8764 0.4745 0.4356 O
0.8883 0.8491 0.2499 O
```

Main lines, in order of falling intensity (2θ from 10° to 90°):
Position (°2θ)	I/Imax
20.6	100
22.3	64
21.1	60
18.3	49
11.5	46
23.2	29



# 3
This entry pairs a crystal structure of Na6ZnH4S4O18 with its calculated powder diffraction line list. Radiation: Cu Kα (weighted mean of Kα1 and Kα2). Structure: a DFT-relaxed cell (PBE, the Materials Project).
Intensities are scaled so that the largest is 100.

Cell and atoms:
```
Na6ZnH4S4O18
1.0
6.1332 0.0000 0.0000
-1.8138 6.6722 0.0000
-0.4622 -3.6947 9.5512
Na Zn H S O
6 1 4 4 18
direct
0.0418 0.4524 0.1681 Na
0.3913 0.2018 0.9634 Na
0.4401 0.8147 0.6068 Na
0.5599 0.1853 0.3932 Na
0.6087 0.7982 0.0366 Na
0.9582 0.5476 0.8319 Na
0.0000 0.0000 0.5000 Zn
0.0089 0.2334 0.3655 H
0.0875 0.3872 0.5311 H
0.9125 0.6128 0.4689 H
0.9911 0.7666 0.6345 H
0.1245 0.9413 0.1747 S
0.4458 0.4045 0.6992 S
0.5542 0.5955 0.3008 S
0.8755 0.0587 0.8253 S
0.0124 0.2764 0.9213 O
0.0127 0.9053 0.8159 O
0.0337 0.7355 0.5383 O
0.1767 0.9353 0.3183 O
0.2703 0.5202 0.6971 O
0.3342 0.1658 0.6240 O
0.3467 0.0129 0.1266 O
0.3649 0.5214 0.3736 O
0.4637 0.5552 0.1540 O
0.5363 0.4448 0.8460 O
0.6351 0.4786 0.6264 O
0.6533 0.9871 0.8734 O
0.6658 0.8342 0.3760 O
0.7297 0.4798 0.3029 O
0.8233 0.0647 0.6817 O
0.9663 0.2645 0.4617 O
0.9873 0.0947 0.1841 O
0.9876 0.7236 0.0787 O
```

Main lines, in order of falling intensity (2θ from 10° to 90°):
Position (°2θ)	I/Imax
17.5	100
29.9	77
30.5	63
27.0	60
28.2	59
22.2	51



# 4
This entry pairs a crystal structure of Na2ZnH8S2O12 with its calculated powder diffraction line list. Radiation: Cu Kα (weighted mean of Kα1 and Kα2). Structure: a DFT-relaxed cell (PBE, the Materials Project).
Intensities are scaled so that the largest is 100.

Cell and atoms:
```
Na2ZnH8S2O12
1.0
5.5749 0.0000 0.0000
0.0000 8.3724 0.0000
-1.8243 0.0000 11.0214
Na Zn H S O
4 2 16 4 24
direct
0.1189 0.0726 0.3619 Na
0.1189 0.4274 0.8619 Na
0.8811 0.5726 0.1381 Na
0.8811 0.9274 0.6381 Na
0.0000 0.0000 0.0000 Zn
0.0000 0.5000 0.5000 Zn
0.2289 0.6361 0.3453 H
0.2289 0.8639 0.8453 H
0.2368 0.0535 0.8180 H
0.2368 0.4465 0.3180 H
0.2449 0.7274 0.0122 H
0.2449 0.7726 0.5122 H
0.3285 0.6955 0.6387 H
0.3285 0.8045 0.1387 H
0.6715 0.1955 0.8613 H
0.6715 0.3045 0.3613 H
0.7551 0.2274 0.4878 H
0.7551 0.2726 0.9878 H
0.7632 0.5535 0.6820 H
0.7632 0.9465 0.1820 H
0.7711 0.1361 0.1547 H
0.7711 0.3639 0.6547 H
0.3779 0.2119 0.6363 S
0.3779 0.2881 0.1363 S
0.6221 0.7119 0.8637 S
0.6221 0.7881 0.3637 S
0.1292 0.5364 0.3362 O
0.1292 0.9636 0.8362 O
0.1807 0.7145 0.5778 O
0.1807 0.7855 0.0778 O
0.2173 0.0848 0.5775 O
0.2173 0.4152 0.0775 O
0.3172 0.1302 0.0780 O
0.3172 0.3698 0.5780 O
0.3605 0.2208 0.7695 O
0.3605 0.2792 0.2695 O
0.3601 0.6767 0.8730 O
0.3601 0.8233 0.3730 O
0.6399 0.1767 0.6270 O
0.6399 0.3233 0.1270 O
0.6395 0.7208 0.7305 O
0.6395 0.7792 0.2305 O
0.6828 0.6302 0.4220 O
0.6828 0.8698 0.9220 O
0.7827 0.5848 0.9225 O
0.7827 0.9152 0.4225 O
0.8193 0.2145 0.9222 O
0.8193 0.2855 0.4222 O
0.8708 0.0364 0.1638 O
0.8708 0.4636 0.6638 O
```

Main lines, in order of falling intensity (2θ from 10° to 90°):
Position (°2θ)	I/Imax
26.8	100
19.3	59
20.9	37
33.9	34
26.9	34
13.3	24



# 5
This entry pairs a crystal structure of NaH3Se2O6 with its calculated powder diffraction line list. Radiation: Cu Kα (weighted mean of Kα1 and Kα2). Structure: a DFT-relaxed cell (PBE, the Materials Project).
Intensities are scaled so that the largest is 100.

Cell and atoms:
```
NaH3Se2O6
1.0
5.8404 0.0000 0.0000
0.0000 4.8874 0.0000
-5.5778 0.0000 10.5026
Na H Se O
2 6 4 12
direct
0.0000 0.2470 0.0000 Na
0.0000 0.7530 0.5000 Na
0.2518 0.2498 0.6730 H
0.2518 0.7502 0.1730 H
0.5232 0.2803 0.0135 H
0.5232 0.7197 0.5135 H
0.7214 0.2223 0.3313 H
0.7214 0.7777 0.8313 H
0.3250 0.1328 0.3307 Se
0.3250 0.8672 0.8307 Se
0.6576 0.3599 0.6723 Se
0.6576 0.6401 0.1723 Se
0.1437 0.0545 0.6920 O
0.1437 0.9455 0.1920 O
0.3267 0.0580 0.9498 O
0.3267 0.9420 0.4498 O
0.3449 0.4477 0.6469 O
0.3449 0.5523 0.1469 O
0.6468 0.0473 0.3537 O
0.6468 0.9527 0.8537 O
0.6661 0.4323 0.0499 O
0.6661 0.5677 0.5499 O
0.8495 0.4639 0.3066 O
0.8495 0.5361 0.8066 O
```

Main lines, in order of falling intensity (2θ from 10° to 90°):
Position (°2θ)	I/Imax
31.4	100
23.7	92
25.4	88
24.9	82
25.1	82
30.6	62



# 6
This entry pairs a crystal structure of NaHSeO4 with its calculated powder diffraction line list. Radiation: Cu Kα (weighted mean of Kα1 and Kα2). Structure: a DFT-relaxed cell (PBE, the Materials Project).
Intensities are scaled so that the largest is 100.

Cell and atoms:
```
NaHSeO4
1.0
5.1865 0.0000 0.0000
0.7231 5.7313 0.0000
1.8845 -0.1471 6.4150
Na H Se O
2 2 2 8
direct
0.0000 0.0000 0.0000 Na
0.0625 0.4989 0.6890 Na
0.0009 0.2384 0.3682 H
0.5015 0.7134 0.3342 H
0.4056 0.4547 0.1006 Se
0.6694 0.0251 0.5731 Se
0.2493 0.2204 0.1797 O
0.2632 0.6289 0.9539 O
0.3538 0.1330 0.6857 O
0.3548 0.6058 0.3403 O
0.7142 0.8786 0.3491 O
0.7328 0.3809 0.9972 O
0.8185 0.8756 0.7304 O
0.8360 0.2741 0.4985 O
```

Main lines, in order of falling intensity (2θ from 10° to 90°):
Position (°2θ)	I/Imax
26.1	100
21.0	85
22.2	82
20.5	81
25.7	72
31.8	62



# 7
This entry pairs a crystal structure of NaH3Se2O6 with its calculated powder diffraction line list. Radiation: Cu Kα (weighted mean of Kα1 and Kα2). Structure: a DFT-relaxed cell (PBE, the Materials Project).
Intensities are scaled so that the largest is 100.

Cell and atoms:
```
NaH3Se2O6
1.0
4.6900 0.0000 0.0000
0.0000 5.9594 0.0000
-3.9890 0.0000 10.4908
Na H Se O
2 6 4 12
direct
0.0000 0.0000 0.0000 Na
0.0000 0.5000 0.5000 Na
0.0000 0.0000 0.5000 H
0.0000 0.5000 0.0000 H
0.1992 0.0272 0.8081 H
0.1992 0.4728 0.3081 H
0.8008 0.5272 0.6919 H
0.8008 0.9728 0.1919 H
0.3019 0.5920 0.8439 Se
0.3019 0.9080 0.3439 Se
0.6981 0.0920 0.6561 Se
0.6981 0.4080 0.1561 Se
0.0337 0.1461 0.7986 O
0.0337 0.3539 0.2986 O
0.1524 0.6318 0.9652 O
0.1524 0.8682 0.4652 O
0.4666 0.6554 0.3487 O
0.4666 0.8446 0.8487 O
0.5334 0.1554 0.1513 O
0.5334 0.3446 0.6513 O
0.8476 0.1318 0.5348 O
0.8476 0.3682 0.0348 O
0.9663 0.6461 0.7014 O
0.9663 0.8539 0.2014 O
```

Main lines, in order of falling intensity (2θ from 10° to 90°):
Position (°2θ)	I/Imax
24.2	100
22.6	79
30.9	73
33.0	62
21.3	61
25.2	60



# 8
This entry pairs a crystal structure of NaHSeO4 with its calculated powder diffraction line list. Radiation: Cu Kα (weighted mean of Kα1 and Kα2). Structure: a DFT-relaxed cell (PBE, the Materials Project).
Intensities are scaled so that the largest is 100.

Cell and atoms:
```
NaHSeO4
1.0
5.3608 0.0000 0.0000
0.0000 7.9869 0.0000
-3.5940 0.0000 8.8424
Na H Se O
4 4 4 16
direct
0.0005 0.9998 0.2038 Na
0.9995 0.0002 0.7962 Na
0.9995 0.4998 0.2962 Na
0.0005 0.5002 0.7038 Na
0.3662 0.0380 0.6322 H
0.3662 0.4620 0.1322 H
0.6338 0.5380 0.8678 H
0.6338 0.9620 0.3678 H
0.4137 0.7254 0.0618 Se
0.4137 0.7746 0.5618 Se
0.5863 0.2254 0.4382 Se
0.5863 0.2746 0.9382 Se
0.2270 0.6078 0.5493 O
0.2270 0.8922 0.0493 O
0.2663 0.5679 0.1386 O
0.2663 0.9321 0.6386 O
0.2686 0.2462 0.3219 O
0.2686 0.2538 0.8219 O
0.3797 0.6567 0.8911 O
0.3797 0.8433 0.3911 O
0.6203 0.1567 0.6089 O
0.6203 0.3433 0.1089 O
0.7314 0.7462 0.1781 O
0.7314 0.7538 0.6781 O
0.7337 0.0679 0.3614 O
0.7337 0.4321 0.8614 O
0.7730 0.1078 0.9507 O
0.7730 0.3922 0.4507 O
```

Main lines, in order of falling intensity (2θ from 10° to 90°):
Position (°2θ)	I/Imax
24.1	100
28.7	75
23.0	68
21.1	48
17.9	48
31.8	32